Diffraction record for Sm3Si6Pd2Rh. The XRD peak list is calculated, not measured: it uses a structure optimized by DFT (GGA-PBE) and Cu Kα X-rays.

Cell and atoms:
```
Sm3Si6Pd2Rh
1.0
5.775 0.000 0.000
-2.888 5.002 0.000
0.000 0.000 7.949
Sm Si Pd Rh
3 6 2 1
direct
0.000 0.000 0.000
0.333 0.667 0.626
0.667 0.333 0.374
0.191 0.382 0.294
0.191 0.809 0.294
0.382 0.191 0.706
0.618 0.809 0.294
0.809 0.191 0.706
0.809 0.618 0.706
0.333 0.667 0.037
0.667 0.333 0.963
0.000 0.000 0.500
```

Largest 10 diffraction maxima, most intense first, 2θ = 5–70°:
30.97 deg, d = 2.888 Å, I = 1000, hkl 1 1 0
38.53 deg, d = 2.337 Å, I = 563, hkl 1 1 2
28.69 deg, d = 3.112 Å, I = 554, hkl 0 1 2
42.72 deg, d = 2.117 Å, I = 347, hkl 2 0 2
53.69 deg, d = 1.707 Å, I = 196, hkl 1 2 2
46.52 deg, d = 1.952 Å, I = 188, hkl 1 1 3
55.09 deg, d = 1.667 Å, I = 184, hkl 3 0 0
64.54 deg, d = 1.444 Å, I = 182, hkl 2 2 0
37.71 deg, d = 2.386 Å, I = 171, hkl 0 2 1
49.35 deg, d = 1.847 Å, I = 163, hkl 0 1 4


Diffraction record for Sm4P2SeS. The XRD peak list is calculated, not measured: it uses a structure optimized by DFT (GGA-PBE) and Cu Kα X-rays.

Cell and atoms:
```
Sm4P2SeS
1.0
5.795 0.000 0.000
0.000 5.795 0.000
0.000 0.000 11.632
Sm P Se S
8 4 2 2
direct
0.000 0.000 0.241
0.000 0.000 0.759
0.000 0.500 0.505
0.000 0.500 0.995
0.500 0.000 0.005
0.500 0.000 0.495
0.500 0.500 0.259
0.500 0.500 0.741
0.000 0.000 0.000
0.000 0.500 0.750
0.500 0.000 0.250
0.500 0.500 0.500
0.000 0.000 0.500
0.500 0.500 0.000
0.000 0.500 0.250
0.500 0.000 0.750
```

Largest 10 diffraction maxima, most intense first, 2θ = 5–70°:
44.15 deg, d = 2.051 Å, I = 1000, hkl 2 2 0
30.86 deg, d = 2.898 Å, I = 920, hkl 2 0 0
26.61 deg, d = 3.350 Å, I = 779, hkl 1 1 2
30.75 deg, d = 2.908 Å, I = 453, hkl 0 0 4
54.81 deg, d = 1.675 Å, I = 348, hkl 2 2 4
52.34 deg, d = 1.748 Å, I = 257, hkl 3 1 2
52.19 deg, d = 1.752 Å, I = 118, hkl 1 1 6
64.30 deg, d = 1.449 Å, I = 110, hkl 4 0 0
64.04 deg, d = 1.454 Å, I = 50, hkl 0 0 8
27.68 deg, d = 3.223 Å, I = 42, hkl 1 0 3